Diffraction record for HoSbMo2O9. The powder diffractogram is simulated, not measured: it uses a PBE+U-relaxed structure and a wavelength of 1.5418 Å.
Kinematic intensities with the Lorentz-polarization factor, no thermal factor.

Structural model:
Cell: 13.0489 14.3177 10.8402 Å, 90.00 123.64 90.00°
Space group C2/c (No. 15)
One atom of each set of equivalent atoms:
Ho 0.0000 0.1256 0.2500
Ho 0.0000 0.3288 0.7500
Sb 0.1356 0.4845 0.5359
Mo 0.1527 0.1066 0.0243
Mo 0.2457 0.1888 0.6925
O 0.0177 0.4404 0.6003
O 0.0832 0.0136 0.8968
O 0.0835 0.2140 0.9297
O 0.1170 0.2609 0.2733
O 0.1297 0.0888 0.1715
O 0.1420 0.1639 0.5009
O 0.1749 0.2696 0.7484
O 0.1857 0.4074 0.9205
O 0.2136 0.4221 0.2034

Top 6 peaks for 2θ = 5–70°, by angle:
- 2θ = 23.3°, d = 3.817 Å, I 809, hkl 0 2 2
- 2θ = 25.0°, d = 3.560 Å, I 722, hkl 1 3 -2
- 2θ = 26.5°, d = 3.366 Å, I 1000, hkl 2 2 1
- 2θ = 27.4°, d = 3.257 Å, I 991, hkl 4 0 -2
- 2θ = 27.7°, d = 3.226 Å, I 712, hkl 2 2 -3
- 2θ = 28.4°, d = 3.138 Å, I 625, hkl 2 4 -1